Structure and simulated powder XRD pattern of MgV2O2F6 (the PBE+U geometry in the Materials Project; Cu Kα (weighted mean of Kα1 and Kα2)).
Lines closer than 0.1° are merged.

```
data_MgV2O2F6
_space_group_name_H-M_alt 'P 1'
_space_group_IT_number 1
_space_group_name_Hall 'P 1'
_cell_length_a 5.094
_cell_length_b 5.605
_cell_length_c 5.787
_cell_angle_alpha 63.31
_cell_angle_beta 90.00
_cell_angle_gamma 89.93
loop_
_atom_site_label
_atom_site_fract_x
_atom_site_fract_y
_atom_site_fract_z
Mg1 0.000 0.000 0.000
V1 0.008 0.316 0.289
V2 0.492 0.546 0.975
O1 0.202 0.380 0.968
O2 0.822 0.615 0.143
F1 0.090 0.958 0.357
F2 0.333 0.879 0.913
F3 0.336 0.421 0.364
F4 0.647 0.676 0.667
F5 0.705 0.201 0.105
F6 0.889 0.175 0.640
```

Peak list (6 most intense, 2θ = 15–90°, low angle first)
hkl 0 0 1, 2θ = 17.15°, I = 97; hkl 0 1 1, 2θ = 18.31°, I = 84; hkl 1 0 1, 2θ = 24.54°, I = 65; hkl 1 -1 0, 2θ = 24.93°, I = 100; hkl 1 0 -2, 2θ = 39.07°, I = 44; hkl 2 1 1, 2θ = 39.98°, I = 43